Rb4HgF: simulated powder XRD pattern (Cu Kα), based on DFT lattice parameters and positions (PBE).

Crystal structure
```
Rb4HgF
1.0
11.693 0.000 0.000
0.000 8.969 0.000
0.000 0.000 5.852
Rb Hg F
8 2 2
Direct
0.000 0.103 0.000 Rb
0.000 0.806 0.500 Rb
0.181 0.321 0.500 Rb
0.319 0.679 0.000 Rb
0.500 0.194 0.000 Rb
0.500 0.897 0.500 Rb
0.681 0.679 0.000 Rb
0.819 0.321 0.500 Rb
0.000 0.524 0.999 Hg
0.500 0.476 0.499 Hg
0.000 0.118 0.499 F
0.500 0.882 0.999 F
```

Principal peaks in the range 10° ≤ 2θ ≤ 80°, sorted by position:
(2 0 0), 2θ 15.15, d 5.846, I 67; (2 1 1), 2θ 23.69, d 3.756, I 45; (0 2 1), 2θ 25.02, d 3.559, I 78; (1 2 1), 2θ 26.17, d 3.405, I 100; (3 0 1), 2θ 27.50, d 3.244, I 50; (0 0 2), 2θ 30.56, d 2.925, I 73